Diffraction record for Mn2S3O12. The powder diffractogram is calculated, not measured: it uses a structure optimized by DFT (PBE+U) and copper Kα.
Peak positions follow from Bragg's law for the DFT cell and can differ from measured ones.

Principal peaks in the range 2θ = 10–80°, low angle first:
| 2θ (°) | intensity | index |
| --- | --- | --- |
| 14.54 | 96 | 1 1 -1 |
| 22.32 | 54 | 1 1 -2 |
| 24.12 | 96 | 0 2 1 |
| 25.37 | 100 | 3 1 -2 |
| 25.70 | 78 | 3 1 0 |
| 31.02 | 88 | 0 2 2 |

a = 13.146 Å, b = 8.317 Å, c = 9.195 Å
α = 90.00°, β = 119.50°, γ = 90.00°
Space group C2/c (No. 15)
Unique sites:
Mn (0.119, 0.249, 0.031) x8
S (0.000, 0.038, 0.250) x4
S (0.147, 0.391, 0.668) x8
O (0.020, 0.372, 0.623) x8
O (0.058, 0.135, 0.180) x8
O (0.093, 0.066, 0.883) x8
O (0.172, 0.431, 0.187) x8
O (0.177, 0.310, 0.558) x8
O (0.214, 0.333, 0.849) x8



Diffraction record for MnSO3. The powder diffractogram is calculated, not measured: it uses a structure optimized by DFT (PBE+U) and copper Kα.
Peak positions follow from Bragg's law for the DFT cell and can differ from measured ones.

Principal peaks in the range 2θ = 10–80°, low angle first:
| 2θ (°) | intensity | index |
| --- | --- | --- |
| 13.50 | 58 | 1 1 0 |
| 27.19 | 37 | 2 2 0 |
| 30.28 | 88 | 1 2 2 |
| 30.43 | 100 | 4 -3 1 |
| 41.15 | 40 | 2 3 2 |
| 57.93 | 46 | 3 5 1 |

a = 13.1178 Å, b = 13.1178 Å, c = 8.1268 Å
α = 90.00°, β = 90.00°, γ = 120.00°
Space group R-3 (No. 148, hexagonal axes)
Unique sites:
Mn (0.0457, 0.7752, 0.0890) x18
S (0.0146, 0.8432, 0.6960) x18
O (0.0137, 0.2803, 0.3660) x18
O (0.0344, 0.1801, 0.1246) x18
O (0.0901, 0.2408, 0.7212) x18



Diffraction record for MnSO6. The powder diffractogram is calculated, not measured: it uses a structure optimized by DFT (PBE+U) and copper Kα.
Peak positions follow from Bragg's law for the DFT cell and can differ from measured ones.

Principal peaks in the range 2θ = 10–80°, low angle first:
| 2θ (°) | intensity | index |
| --- | --- | --- |
| 19.29 | 98 | 1 1 1 |
| 19.90 | 44 | 1 0 2 |
| 22.29 | 75 | 2 1 0 |
| 24.92 | 100 | 1 1 2 |
| 26.53 | 69 | 3 0 1 |
| 28.52 | 45 | 1 0 3 |

a = 10.729 Å, b = 5.961 Å, c = 9.815 Å
α = 90.00°, β = 90.00°, γ = 90.00°
Space group Pnma (No. 62)
Unique sites:
Mn (0.180, 0.250, 0.056) x4
S (0.045, 0.250, 0.639) x4
O (0.085, 0.750, 0.397) x4
O (0.109, 0.041, 0.656) x8
O (0.145, 0.250, 0.216) x4
O (0.152, 0.022, 0.975) x8



Diffraction record for MnSO6. The powder diffractogram is calculated, not measured: it uses a structure optimized by DFT (PBE+U) and copper Kα.
Peak positions follow from Bragg's law for the DFT cell and can differ from measured ones.

Principal peaks in the range 2θ = 10–80°, low angle first:
| 2θ (°) | intensity | index |
| --- | --- | --- |
| 17.38 | 37 | 1 1 0 |
| 19.67 | 100 | 0 0 2 |
| 22.25 | 71 | 0 2 1 |
| 26.12 | 85 | 2 1 -2 |
| 26.55 | 60 | 2 1 -1 |
| 30.44 | 41 | 2 1 0 |

a = 7.479 Å, b = 8.911 Å, c = 10.853 Å
α = 90.00°, β = 123.70°, γ = 90.00°
Space group P2_1/c (No. 14)
Unique sites:
Mn (0.122, 0.220, 0.302) x4
S (0.422, 0.597, 0.283) x4
O (0.010, 0.186, 0.129) x4
O (0.012, 0.668, 0.662) x4
O (0.205, 0.073, 0.404) x4
O (0.302, 0.040, 0.747) x4
O (0.471, 0.654, 0.182) x4
O (0.490, 0.673, 0.418) x4



Diffraction record for Mn5S3O15. The powder diffractogram is calculated, not measured: it uses a structure optimized by DFT (PBE+U) and copper Kα.
Peak positions follow from Bragg's law for the DFT cell and can differ from measured ones.

Principal peaks in the range 2θ = 10–80°, low angle first:
| 2θ (°) | intensity | index |
| --- | --- | --- |
| 12.16 | 59 | 1 0 0 |
| 13.79 | 64 | 1 0 -1 |
| 26.04 | 29 | 1 2 -1 |
| 27.25 | 31 | 2 0 1 |
| 29.59 | 100 | 1 2 -2 |
| 35.05 | 23 | 0 0 4 |

a = 7.370 Å, b = 8.098 Å, c = 10.365 Å
α = 90.00°, β = 98.90°, γ = 90.00°
Space group P2_1/m (No. 11)
Unique sites:
Mn (0.053, 0.050, 0.341) x4
Mn (0.057, 0.250, 0.100) x2
Mn (0.306, 0.051, 0.892) x4
S (0.243, 0.250, 0.600) x2
S (0.316, 0.750, 0.123) x2
S (0.350, 0.750, 0.677) x2
O (0.058, 0.541, 0.835) x4
O (0.113, 0.750, 0.067) x2
O (0.116, 0.097, 0.566) x4
O (0.135, 0.750, 0.635) x2
O (0.180, 0.250, 0.284) x2
O (0.240, 0.574, 0.358) x4
O (0.255, 0.250, 0.998) x2
O (0.281, 0.250, 0.749) x2
O (0.396, 0.597, 0.760) x4
O (0.401, 0.599, 0.059) x4